Sc2Ru2Rh: simulated X-ray diffraction stick pattern (λ = 1.5418 Å (Cu Kα)), based on a DFT-relaxed cell (GGA-PBE, Alexandria).
Neutral-atom scattering factors, no anomalous dispersion.

Principal peaks in the range 15 to 90 degrees two-theta, low angle first:
- 2θ 22.3, I 55, (0 0 1)
- 2θ 30.1, I 16, (2 1 0)
- 2θ 35.2, I 34, (2 0 1)
- 2θ 37.8, I 100, (2 1 1)
- 2θ 38.4, I 11, (2 2 0)
- 2θ 43.1, I 48, (3 1 0)
- 2θ 45.5, I 26, (0 0 2)
- 2θ 49.1, I 33, (3 1 1)
- 2θ 49.5, I 12, (3 2 0)
- 2θ 54.9, I 11, (3 2 1)
- 2θ 64.5, I 28, (3 1 2)
- 2θ 77.1, I 14, (5 1 1)

a = 6.6348 Å, b = 6.6348 Å, c = 3.9897 Å
α = 90.00°, β = 90.00°, γ = 90.00°
Fractional coordinates of all 10 atoms:
Sc: 0.1810 0.3190 0.0000
Sc: 0.3190 0.8190 0.0000
Sc: 0.6810 0.1810 0.0000
Sc: 0.8190 0.6810 0.0000
Ru: 0.1279 0.6279 0.5000
Ru: 0.3721 0.1279 0.5000
Ru: 0.6279 0.8721 0.5000
Ru: 0.8721 0.3721 0.5000
Rh: 0.0000 0.0000 0.5000
Rh: 0.5000 0.5000 0.5000